Record 1
This entry pairs a crystal structure of Ca2TbCd5 with its simulated powder XRD pattern. Radiation: copper Kα. Structure: a DFT-relaxed cell (GGA-PBE, Alexandria).

Structural model:
```
data_Ca2TbCd5
_symmetry_space_group_name_H-M 'I 4/m m m'
_symmetry_Int_Tables_number 139
_symmetry_space_group_name_Hall '-I 4 2'
_cell_length_a 5.267
_cell_length_b 5.267
_cell_length_c 14.883
_cell_angle_alpha 90.00
_cell_angle_beta 90.00
_cell_angle_gamma 90.00
loop_
_atom_site_label
_atom_site_fract_x
_atom_site_fract_y
_atom_site_fract_z
Ca1 0.000 0.000 0.242
Tb1 0.000 0.000 0.500
Cd1 0.000 0.000 0.000
Cd2 0.000 0.500 0.118
```

Peak list (10 most intense, 10 to 90 degrees two-theta, sorted by position)
hkl 0 0 2, 11.9 deg, intensity 153; hkl 1 1 2, 26.8 deg, intensity 40; hkl 2 0 0, 34.1 deg, intensity 1000; hkl 2 0 2, 36.2 deg, intensity 46; hkl 1 1 6, 43.9 deg, intensity 50; hkl 2 2 0, 48.9 deg, intensity 172; hkl 3 1 4, 61.0 deg, intensity 340; hkl 3 1 6, 67.8 deg, intensity 27; hkl 4 0 0, 71.7 deg, intensity 102; hkl 4 2 0, 81.8 deg, intensity 140

=====

Record 2
This entry pairs a crystal structure of Ca3Tl2Cd5 with its simulated powder XRD pattern. Radiation: copper Kα. Structure: a DFT-relaxed cell (GGA-PBE, Alexandria).

Structural model:
```
data_Ca3Tl2Cd5
_symmetry_space_group_name_H-M 'C m m m'
_symmetry_Int_Tables_number 65
_symmetry_space_group_name_Hall '-C 2 2'
_cell_length_a 6.576
_cell_length_b 17.223
_cell_length_c 5.252
_cell_angle_alpha 90.00
_cell_angle_beta 90.00
_cell_angle_gamma 90.00
loop_
_atom_site_label
_atom_site_fract_x
_atom_site_fract_y
_atom_site_fract_z
Ca1 0.000 0.000 0.000
Ca2 0.000 0.329 0.500
Tl1 0.000 0.137 0.500
Cd1 0.000 0.214 0.000
Cd2 0.000 0.500 0.000
Cd3 0.221 0.500 0.500
```

Peak list (10 most intense, 10 to 90 degrees two-theta, sorted by position)
hkl 0 0 1, 16.9 deg, intensity 236; hkl 1 3 0, 20.5 deg, intensity 747; hkl 0 4 1, 26.8 deg, intensity 374; hkl 2 0 0, 27.1 deg, intensity 315; hkl 1 5 1, 34.0 deg, intensity 249; hkl 0 0 2, 34.1 deg, intensity 485; hkl 2 4 1, 38.5 deg, intensity 1000; hkl 1 3 2, 40.2 deg, intensity 275; hkl 1 7 1, 42.9 deg, intensity 325; hkl 2 4 3, 64.0 deg, intensity 217

=====

Record 3
This entry pairs a crystal structure of Ca2Tl5Cd2 with its simulated powder XRD pattern. Radiation: copper Kα. Structure: a DFT-relaxed cell (GGA-PBE, Alexandria).

Structural model:
```
data_Ca2Tl5Cd2
_symmetry_space_group_name_H-M 'I m a 2'
_symmetry_Int_Tables_number 46
_symmetry_space_group_name_Hall 'I 2 -2a'
_cell_length_a 17.458
_cell_length_b 9.050
_cell_length_c 6.875
_cell_angle_alpha 90.00
_cell_angle_beta 90.00
_cell_angle_gamma 90.00
loop_
_atom_site_label
_atom_site_fract_x
_atom_site_fract_y
_atom_site_fract_z
Ca1 0.134 0.019 0.000
Tl1 0.020 0.687 0.216
Tl2 0.152 0.034 0.509
Tl3 0.250 0.749 0.754
Cd1 0.000 0.000 0.311
Cd2 0.250 0.247 0.252
```

Peak list (10 most intense, 10 to 90 degrees two-theta, sorted by position)
hkl 0 1 1, 16.2 deg, intensity 664; hkl 4 0 0, 20.3 deg, intensity 205; hkl 5 1 0, 27.4 deg, intensity 209; hkl 4 2 0, 28.4 deg, intensity 795; hkl 0 2 2, 32.7 deg, intensity 756; hkl 4 0 2, 33.2 deg, intensity 1000; hkl 2 3 1, 34.0 deg, intensity 372; hkl 6 1 1, 34.9 deg, intensity 289; hkl 4 3 1, 38.6 deg, intensity 238; hkl 4 2 4, 61.5 deg, intensity 207

=====

Record 4
This entry pairs a crystal structure of CaTlCd3 with its simulated powder XRD pattern. Radiation: copper Kα. Structure: a DFT-relaxed cell (GGA-PBE, Alexandria).

Structural model:
```
data_CaTlCd3
_symmetry_space_group_name_H-M 'I -4 m 2'
_symmetry_Int_Tables_number 119
_symmetry_space_group_name_Hall 'I -4 -2'
_cell_length_a 5.449
_cell_length_b 5.449
_cell_length_c 23.684
_cell_angle_alpha 90.00
_cell_angle_beta 90.00
_cell_angle_gamma 90.00
loop_
_atom_site_label
_atom_site_fract_x
_atom_site_fract_y
_atom_site_fract_z
Ca1 0.000 0.000 0.000
Ca2 0.000 0.500 0.250
Tl1 0.000 0.000 0.330
Cd1 0.000 0.250 0.124
Cd2 0.000 0.500 0.594
```

Peak list (10 most intense, 10 to 90 degrees two-theta, sorted by position)
hkl 0 0 4, 15.0 deg, intensity 1000; hkl 1 0 3, 19.8 deg, intensity 377; hkl 1 0 5, 24.9 deg, intensity 378; hkl 1 1 6, 32.5 deg, intensity 595; hkl 2 0 0, 32.9 deg, intensity 307; hkl 2 0 2, 33.8 deg, intensity 257; hkl 2 1 1, 37.1 deg, intensity 278; hkl 1 0 9, 38.0 deg, intensity 422; hkl 2 1 3, 38.7 deg, intensity 846; hkl 3 1 6, 58.4 deg, intensity 217

=====

Record 5
This entry pairs a crystal structure of Ca2TlCd9 with its simulated powder XRD pattern. Radiation: copper Kα. Structure: a DFT-relaxed cell (GGA-PBE, Alexandria).

Structural model:
```
data_Ca2TlCd9
_symmetry_space_group_name_H-M 'P 63/m m c'
_symmetry_Int_Tables_number 194
_symmetry_space_group_name_Hall '-P 6c 2c'
_cell_length_a 6.1138
_cell_length_b 6.1138
_cell_length_c 19.0421
_cell_angle_alpha 90.00
_cell_angle_beta 90.00
_cell_angle_gamma 120.00
loop_
_atom_site_label
_atom_site_fract_x
_atom_site_fract_y
_atom_site_fract_z
Ca1 0.3333 0.6667 0.0377
Tl1 0.3333 0.6667 0.2500
Cd1 0.0000 0.0000 0.0000
Cd2 0.0000 0.0000 0.2500
Cd3 0.1701 0.3401 0.6222
Cd4 0.3333 0.6667 0.7500
```

Peak list (10 most intense, 10 to 90 degrees two-theta, sorted by position)
hkl 1 0 5, 28.9 deg, intensity 185; hkl 1 1 0, 29.2 deg, intensity 190; hkl 2 0 1, 34.2 deg, intensity 397; hkl 1 1 4, 34.9 deg, intensity 1000; hkl 2 0 3, 36.8 deg, intensity 223; hkl 0 0 8, 37.8 deg, intensity 285; hkl 2 0 4, 38.9 deg, intensity 167; hkl 3 0 4, 55.6 deg, intensity 343; hkl 2 2 0, 60.6 deg, intensity 245; hkl 2 2 8, 73.7 deg, intensity 227

=====

Record 6
This entry pairs a crystal structure of Ca4Tl7Cd with its simulated powder XRD pattern. Radiation: copper Kα. Structure: a DFT-relaxed cell (GGA-PBE, Alexandria).

Structural model:
```
data_Ca4Tl7Cd
_symmetry_space_group_name_H-M 'P -1'
_symmetry_Int_Tables_number 2
_symmetry_space_group_name_Hall '-P 1'
_cell_length_a 5.573
_cell_length_b 7.728
_cell_length_c 9.055
_cell_angle_alpha 112.13
_cell_angle_beta 90.64
_cell_angle_gamma 90.11
loop_
_atom_site_label
_atom_site_fract_x
_atom_site_fract_y
_atom_site_fract_z
Ca1 0.248 0.089 0.193
Ca2 0.249 0.597 0.226
Tl1 0.245 0.206 0.868
Tl2 0.249 0.426 0.543
Tl3 0.256 0.702 0.890
Tl4 0.500 0.000 0.500
Cd1 0.000 0.000 0.500
```

Peak list (10 most intense, 10 to 90 degrees two-theta, sorted by position)
hkl 1 0 1, 19.2 deg, intensity 382; hkl 0 2 -1, 23.1 deg, intensity 907; hkl 1 2 -2, 30.5 deg, intensity 503; hkl 1 -2 2, 30.6 deg, intensity 1000; hkl 0 0 3, 32.0 deg, intensity 515; hkl 2 0 0, 32.1 deg, intensity 385; hkl -1 2 1, 34.5 deg, intensity 573; hkl 1 2 1, 34.8 deg, intensity 378; hkl 1 0 3, 36.1 deg, intensity 365; hkl 0 2 4, 58.9 deg, intensity 298

=====

Record 7
This entry pairs a crystal structure of Ca4TlCd2 with its simulated powder XRD pattern. Radiation: copper Kα. Structure: a DFT-relaxed cell (GGA-PBE, Alexandria).

Structural model:
```
data_Ca4TlCd2
_symmetry_space_group_name_H-M 'R -3 m'
_symmetry_Int_Tables_number 166
_symmetry_space_group_name_Hall '-R 3 2"'
_cell_length_a 5.4083
_cell_length_b 5.4083
_cell_length_c 26.6387
_cell_angle_alpha 90.00
_cell_angle_beta 90.00
_cell_angle_gamma 120.00
loop_
_atom_site_label
_atom_site_fract_x
_atom_site_fract_y
_atom_site_fract_z
Ca1 0.0000 0.0000 0.1232
Ca2 0.0000 0.0000 0.3740
Tl1 0.0000 0.0000 0.5000
Cd1 0.0000 0.0000 0.2488
```

Peak list (10 most intense, 10 to 90 degrees two-theta, sorted by position)
hkl 1 0 1, 19.2 deg, intensity 403; hkl 1 0 4, 23.2 deg, intensity 438; hkl 0 1 5, 25.3 deg, intensity 209; hkl 1 0 7, 30.2 deg, intensity 202; hkl 0 1 8, 33.0 deg, intensity 1000; hkl 1 1 0, 33.1 deg, intensity 993; hkl 1 1 3, 34.7 deg, intensity 197; hkl 2 0 8, 47.5 deg, intensity 350; hkl 1 0 16, 58.9 deg, intensity 178; hkl 3 0 0, 59.1 deg, intensity 531

=====

Record 8
This entry pairs a crystal structure of Ca2Tl6Cd with its simulated powder XRD pattern. Radiation: copper Kα. Structure: a DFT-relaxed cell (GGA-PBE, Alexandria).

Structural model:
```
data_Ca2Tl6Cd
_symmetry_space_group_name_H-M 'P 42/m n m'
_symmetry_Int_Tables_number 136
_symmetry_space_group_name_Hall '-P 4n 2n'
_cell_length_a 10.266
_cell_length_b 10.266
_cell_length_c 4.937
_cell_angle_alpha 90.00
_cell_angle_beta 90.00
_cell_angle_gamma 90.00
loop_
_atom_site_label
_atom_site_fract_x
_atom_site_fract_y
_atom_site_fract_z
Ca1 0.166 0.166 0.000
Tl1 0.009 0.335 0.500
Tl2 0.162 0.838 0.000
Cd1 0.000 0.000 0.500
```

Peak list (10 most intense, 10 to 90 degrees two-theta, sorted by position)
hkl 1 1 1, 21.8 deg, intensity 90; hkl 3 0 1, 31.8 deg, intensity 1000; hkl 0 0 2, 36.4 deg, intensity 185; hkl 3 3 0, 37.2 deg, intensity 327; hkl 3 3 2, 53.0 deg, intensity 237; hkl 6 0 0, 53.6 deg, intensity 112; hkl 3 0 3, 62.6 deg, intensity 145; hkl 6 3 1, 63.7 deg, intensity 265; hkl 6 0 2, 66.5 deg, intensity 118; hkl 6 3 3, 86.9 deg, intensity 116